Entry 1:
Si: computed powder X-ray diffraction pattern (Cu Kα (weighted mean of Kα1 and Kα2)), based on a PBE-relaxed structure.
Neutral-atom scattering factors, no anomalous dispersion.

Atomic structure:
```
data_Si
_chemical_formula_sum 'Si9'
_symmetry_space_group_name_H-M 'R -3 m'
_symmetry_Int_Tables_number 166
_symmetry_space_group_name_Hall '-R 3 2"'
_cell_length_a 2.6862
_cell_length_b 2.6862
_cell_length_c 20.6131
_cell_angle_alpha 90.00
_cell_angle_beta 90.00
_cell_angle_gamma 120.00
loop_
_atom_site_label
_atom_site_type_symbol
_atom_site_fract_x
_atom_site_fract_y
_atom_site_fract_z
_atom_site_occupancy
Si1 Si 0.0000 0.0000 0.0000 1
Si2 Si 0.0000 0.0000 0.2224 1
```

Largest 6 diffraction maxima, by angle, 10° ≤ 2θ ≤ 90°:
Position (°2θ)  Rel. int.  hkl
39.0  36.9  1 0 1
39.3  59.4  0 0 9
42.6  100.0  1 0 4
44.7  85.6  0 1 5
70.1  31.6  1 1 0
83.4  40.3  1 1 9



Entry 2:
KCdAs: computed powder X-ray diffraction pattern (Cu Kα (weighted mean of Kα1 and Kα2)), based on a PBE-relaxed structure.
Neutral-atom scattering factors, no anomalous dispersion.

Atomic structure:
```
data_KCdAs
_chemical_formula_sum 'K2 Cd2 As2'
_symmetry_space_group_name_H-M 'P 4/n m m'
_symmetry_Int_Tables_number 129
_cell_length_a 4.6219
_cell_length_b 4.6219
_cell_length_c 8.0388
_cell_angle_alpha 90.00
_cell_angle_beta 90.00
_cell_angle_gamma 90.00
loop_
_symmetry_equiv_pos_as_xyz
'x,y,z'
'-x,-y,-z'
'-y+1/2,x,z'
'y+1/2,-x,-z'
'-x+1/2,-y+1/2,z'
'x+1/2,y+1/2,-z'
'y,-x+1/2,z'
'-y,x+1/2,-z'
'x+1/2,-y,-z'
'-x+1/2,y,z'
'-y,-x,-z'
'y,x,z'
'-x,y+1/2,-z'
'x,-y+1/2,z'
'y+1/2,x+1/2,-z'
'-y+1/2,-x+1/2,z'
loop_
_atom_site_label
_atom_site_type_symbol
_atom_site_fract_x
_atom_site_fract_y
_atom_site_fract_z
_atom_site_occupancy
K1 K 0.2500 0.2500 0.1493 1
Cd1 Cd 0.2500 0.7500 0.5000 1
As1 As 0.2500 0.2500 0.7065 1
```

Largest 6 diffraction maxima, by angle, 10° ≤ 2θ ≤ 90°:
Position (°2θ)  Rel. int.  hkl
11.0  100.0  0 0 1
29.5  68.2  1 1 1
35.4  76.5  1 1 2
39.0  42.1  2 0 0
43.7  20.2  1 1 3
68.3  20.9  3 1 2



Entry 3:
ScZn12: computed powder X-ray diffraction pattern (Cu Kα (weighted mean of Kα1 and Kα2)), based on a PBE-relaxed structure.
Neutral-atom scattering factors, no anomalous dispersion.

Atomic structure:
```
data_ScZn12
_chemical_formula_sum 'Sc2 Zn24'
_symmetry_space_group_name_H-M 'I 4/m m m'
_symmetry_Int_Tables_number 139
_symmetry_space_group_name_Hall '-I 4 2'
_cell_length_a 8.8356
_cell_length_b 8.8356
_cell_length_c 5.1458
_cell_angle_alpha 90.00
_cell_angle_beta 90.00
_cell_angle_gamma 90.00
loop_
_atom_site_label
_atom_site_type_symbol
_atom_site_fract_x
_atom_site_fract_y
_atom_site_fract_z
_atom_site_occupancy
Sc1 Sc 0.0000 0.0000 0.0000 1
Zn1 Zn 0.0000 0.2119 0.5000 1
Zn2 Zn 0.0000 0.3519 0.0000 1
Zn3 Zn 0.2500 0.2500 0.2500 1
```

Largest 6 diffraction maxima, by angle, 10° ≤ 2θ ≤ 90°:
Position (°2θ)  Rel. int.  hkl
35.1  26.9  3 0 1
40.6  48.1  2 0 2
40.8  100.0  4 0 0
45.7  56.4  2 2 2
45.9  58.9  4 2 0
74.2  18.1  6 0 2